1.
AsPd2: calculated powder diffraction line list (λ = 1.5418 Å (Cu Kα)), based on a DFT-relaxed cell (GGA-PBE, the Materials Project).
Neutral-atom scattering factors, no anomalous dispersion.

```
AsPd2
1.0
1.6656 -8.5965 0.0000
1.6656 8.5965 0.0000
0.0000 0.0000 6.7049
As Pd
4 8
Cartesian
1.6656 7.5926 3.3525
1.6656 3.5053 3.5842
1.6656 -3.5053 0.2317
1.6656 -7.5926 0.0000
1.6656 7.1351 0.8693
1.6656 5.5947 5.1196
1.6656 2.9390 6.1045
1.6656 0.6590 1.9612
1.6656 -0.6590 5.3137
1.6656 -2.9390 2.7521
1.6656 -5.5947 1.7672
1.6656 -7.1351 4.2217
```

The 10 most intense peaks (10° ≤ 2θ ≤ 80°), sorted by position:
2θ (°)	d_spacing	Rel. int.
33.9	2.646	60
37.6	2.393	33
38.5	2.341	44
40.0	2.253	100
41.3	2.185	99
41.5	2.178	30
41.8	2.163	53
42.0	2.149	34
44.3	2.047	30
55.1	1.666	41

=====

2.
ErCdCu4: calculated powder diffraction line list (λ = 1.5418 Å (Cu Kα)), based on a DFT-relaxed cell (GGA-PBE, the Materials Project).
Neutral-atom scattering factors, no anomalous dispersion.

```
ErCdCu4
1.0
0.0000 3.5929 3.5929
3.5929 0.0000 3.5929
3.5929 3.5929 0.0000
Er Cd Cu
1 1 4
Cartesian
0.0000 0.0000 0.0000
5.3893 5.3893 5.3893
2.6990 2.6990 2.6990
4.4867 4.4867 2.6990
4.4867 2.6990 4.4867
2.6990 4.4867 4.4867
```

The 10 most intense peaks (10° ≤ 2θ ≤ 80°), sorted by position:
2θ (°)	d_spacing	Rel. int.
21.4	4.149	7
24.8	3.593	2
35.3	2.541	55
41.7	2.167	100
43.6	2.074	20
55.8	1.649	2
63.4	1.467	19
67.8	1.383	30
74.7	1.270	22
78.8	1.215	2